Theoretical X-ray powder pattern
Compound: La6PrAu3
Radiation: Cu Kα (weighted mean of Kα1 and Kα2)
Structure: a structure optimized by DFT (PBE)
Neutral-atom scattering factors, no anomalous dispersion.

The 10 most intense peaks (10 to 80 degrees two-theta), most intense first:
- 2θ 32.48, d 2.757, rel. 1000
- 2θ 31.76, d 2.818, rel. 646
- 2θ 31.08, d 2.878, rel. 607
- 2θ 30.43, d 2.937, rel. 502
- 2θ 38.01, d 2.367, rel. 374
- 2θ 35.21, d 2.549, rel. 275
- 2θ 28.35, d 3.148, rel. 268
- 2θ 23.65, d 3.761, rel. 252
- 2θ 40.73, d 2.215, rel. 225
- 2θ 28.24, d 3.160, rel. 187

Atomic structure:
```
La6PrAu3
1.0
6.320 -6.925 0.000
6.320 6.925 0.000
0.000 0.000 7.557
La Pr Au
12 2 6
Direct
0.028 0.431 0.340 La
0.043 0.957 0.500 La
0.243 0.757 0.121 La
0.280 0.366 0.997 La
0.366 0.280 0.497 La
0.431 0.028 0.840 La
0.569 0.972 0.340 La
0.634 0.720 0.997 La
0.720 0.634 0.497 La
0.757 0.243 0.621 La
0.957 0.043 0.000 La
0.972 0.569 0.840 La
0.326 0.674 0.622 Pr
0.674 0.326 0.122 Pr
0.081 0.260 0.700 Au
0.260 0.081 0.200 Au
0.446 0.554 0.282 Au
0.554 0.446 0.782 Au
0.740 0.919 0.700 Au
0.919 0.740 0.200 Au
```